Starting from a structure optimized by DFT (GGA-PBE), the powder diffractogram of TlAs2Pb2 was simulated for Cu Kα.

Structural model:
Unit cell a=8.0952 b=8.0952 c=8.0952 alpha=148.96 beta=137.32 gamma=53.70
Atoms (fractional coordinates):
Tl  0.0000  0.0000  0.0000
As  0.1591  0.6591  0.5000
As  0.8409  0.3409  0.5000
Pb  0.2909  0.2909  0.0000
Pb  0.7091  0.7091  0.0000

Main lines, in order of falling intensity (2θ from 10° to 80°):
- d = 3.220 Å, 2θ = 27.70°, rel. 100
- d = 2.174 Å, 2θ = 41.55°, rel. 68
- d = 2.510 Å, 2θ = 35.78°, rel. 66
- d = 3.490 Å, 2θ = 25.52°, rel. 61
- d = 2.946 Å, 2θ = 30.34°, rel. 57
- d = 7.222 Å, 2θ = 12.26°, rel. 38
- d = 3.728 Å, 2θ = 23.87°, rel. 38
- d = 1.947 Å, 2θ = 46.64°, rel. 33

---

Starting from a structure optimized by DFT (GGA-PBE), the powder diffractogram of Li2Ag3Pd8 was simulated for Cu Kα.

Structural model:
Unit cell a=9.9536 b=9.9536 c=9.9536 alpha=30.44 beta=30.44 gamma=30.44
Atoms (fractional coordinates):
Li  0.1448  0.1448  0.1448
Li  0.8552  0.8552  0.8552
Ag  0.3215  0.3215  0.3215
Ag  0.5000  0.5000  0.5000
Ag  0.6785  0.6785  0.6785
Pd  0.2274  0.2274  0.2274
Pd  0.2396  0.2396  0.7396
Pd  0.2396  0.7396  0.2396
Pd  0.2604  0.7604  0.7604
Pd  0.7396  0.2396  0.2396
Pd  0.7604  0.2604  0.7604
Pd  0.7604  0.7604  0.2604
Pd  0.7726  0.7726  0.7726

Main lines, in order of falling intensity (2θ from 10° to 80°):
- d = 2.235 Å, 2θ = 40.35°, rel. 100
- d = 2.157 Å, 2θ = 41.89°, rel. 86
- d = 2.246 Å, 2θ = 40.15°, rel. 64
- d = 4.743 Å, 2θ = 18.71°, rel. 56
- d = 3.024 Å, 2θ = 29.54°, rel. 44
- d = 2.289 Å, 2θ = 39.37°, rel. 40
- d = 1.307 Å, 2θ = 72.32°, rel. 32
- d = 1.427 Å, 2θ = 65.40°, rel. 29

---

Starting from a structure optimized by DFT (GGA-PBE), the powder diffractogram of Ba2Ge2Se5 was simulated for Cu Kα.

Structural model:
Unit cell a=12.8470 b=9.2320 c=9.3993 alpha=90.00 beta=90.00 gamma=90.00
Atoms (fractional coordinates):
Ba  0.1779  0.0039  0.1238
Ba  0.1779  0.4961  0.1238
Ba  0.3221  0.5039  0.6238
Ba  0.3221  0.9961  0.6238
Ba  0.6779  0.0039  0.3762
Ba  0.6779  0.4961  0.3762
Ba  0.8221  0.5039  0.8762
Ba  0.8221  0.9961  0.8762
Ge  0.0362  0.7500  0.4742
Ge  0.0967  0.7500  0.8166
Ge  0.4033  0.2500  0.3166
Ge  0.4638  0.2500  0.9742
Ge  0.5362  0.7500  0.0258
Ge  0.5967  0.7500  0.6834
Ge  0.9033  0.2500  0.1834
Ge  0.9638  0.2500  0.5258
Se  0.0061  0.2500  0.9756
Se  0.0586  0.5426  0.6723
Se  0.0586  0.9574  0.6723
Se  0.2173  0.7500  0.3823
Se  0.2242  0.2500  0.3847
Se  0.2758  0.7500  0.8847
Se  0.2827  0.2500  0.8823
Se  0.4414  0.0426  0.1723
Se  0.4414  0.4574  0.1723
Se  0.4939  0.7500  0.4756
Se  0.5061  0.2500  0.5244
Se  0.5586  0.5426  0.8277
Se  0.5586  0.9574  0.8277
Se  0.7173  0.7500  0.1177
Se  0.7242  0.2500  0.1153
Se  0.7758  0.7500  0.6153
Se  0.7827  0.2500  0.6177
Se  0.9414  0.0426  0.3277
Se  0.9414  0.4574  0.3277
Se  0.9939  0.7500  0.0244

Main lines, in order of falling intensity (2θ from 10° to 80°):
- d = 3.190 Å, 2θ = 27.97°, rel. 100
- d = 3.039 Å, 2θ = 29.39°, rel. 36
- d = 2.978 Å, 2θ = 30.01°, rel. 31
- d = 2.308 Å, 2θ = 39.03°, rel. 24
- d = 5.274 Å, 2θ = 16.81°, rel. 13
- d = 2.207 Å, 2θ = 40.89°, rel. 12
- d = 1.825 Å, 2θ = 49.98°, rel. 12
- d = 1.838 Å, 2θ = 49.60°, rel. 11